# 1
# LaSmDy5Er2
Simulated powder XRD pattern, Cu Kα (λ = 1.5418 Å). Input: a DFT-relaxed cell (GGA-PBE, Alexandria).
Neutral-atom scattering factors, no anomalous dispersion.

Atomic structure:
abc: 9.720 9.720 9.720
angles: 124.76 124.76 81.93
Fractional coordinates of all 18 atoms:
La 0.250 0.250 0.000
La 0.750 0.750 0.000
Sm 0.250 0.750 0.500
Sm 0.750 0.250 0.500
Dy 0.000 0.000 0.000
Dy 0.073 0.573 0.904
Dy 0.169 0.073 0.500
Dy 0.331 0.831 0.904
Dy 0.427 0.331 0.500
Dy 0.500 0.500 0.000
Dy 0.573 0.669 0.500
Dy 0.669 0.169 0.096
Dy 0.831 0.927 0.500
Dy 0.927 0.427 0.096
Er 0.112 0.388 0.500
Er 0.388 0.888 0.276
Er 0.612 0.112 0.724
Er 0.888 0.612 0.500

Largest 8 diffraction maxima, by angle, 10° ≤ 2θ ≤ 80°:
2θ (°), d [Å], Rel. int.
28.00, 3.186, 43
28.70, 3.111, 46
31.43, 2.846, 100
36.47, 2.464, 21
37.92, 2.373, 18
41.78, 2.162, 16
49.66, 1.836, 16
51.75, 1.766, 14


# 2
# NaGa3Rh
Simulated powder XRD pattern, Cu Kα (λ = 1.5418 Å). Input: a DFT-relaxed cell (GGA-PBE, Alexandria).
Neutral-atom scattering factors, no anomalous dispersion.

Atomic structure:
abc: 8.023 5.304 8.955
angles: 90.00 103.95 90.00
Fractional coordinates of all 20 atoms:
Na 0.139 0.089 0.223
Na 0.139 0.411 0.723
Na 0.861 0.589 0.277
Na 0.861 0.911 0.777
Ga 0.141 0.605 0.066
Ga 0.141 0.895 0.566
Ga 0.261 0.570 0.364
Ga 0.261 0.930 0.864
Ga 0.424 0.160 0.585
Ga 0.424 0.340 0.085
Ga 0.576 0.660 0.915
Ga 0.576 0.840 0.415
Ga 0.739 0.070 0.136
Ga 0.739 0.430 0.636
Ga 0.859 0.105 0.434
Ga 0.859 0.395 0.934
Rh 0.456 0.659 0.629
Rh 0.456 0.841 0.129
Rh 0.544 0.159 0.871
Rh 0.544 0.341 0.371

Largest 8 diffraction maxima, by angle, 10° ≤ 2θ ≤ 80°:
2θ (°), d [Å], Rel. int.
11.36, 7.787, 100
21.43, 4.147, 33
35.77, 2.510, 32
36.48, 2.463, 24
40.32, 2.237, 21
41.08, 2.197, 58
44.78, 2.024, 20
49.89, 1.828, 20


# 3
# In3GaN4
Simulated powder XRD pattern, Cu Kα (λ = 1.5418 Å). Input: a DFT-relaxed cell (GGA-PBE, Alexandria).
Neutral-atom scattering factors, no anomalous dispersion.

Atomic structure:
abc: 6.978 6.978 5.656
angles: 90.00 90.00 120.00
Fractional coordinates of all 16 atoms:
In 0.170 0.339 0.000
In 0.170 0.830 0.000
In 0.339 0.170 0.500
In 0.661 0.830 0.000
In 0.830 0.170 0.500
In 0.830 0.661 0.500
Ga 0.333 0.667 0.501
Ga 0.667 0.333 0.001
N 0.177 0.354 0.388
N 0.177 0.823 0.388
N 0.333 0.667 0.849
N 0.354 0.177 0.888
N 0.646 0.823 0.388
N 0.667 0.333 0.349
N 0.823 0.177 0.888
N 0.823 0.646 0.888

Largest 8 diffraction maxima, by angle, 10° ≤ 2θ ≤ 80°:
2θ (°), d [Å], Rel. int.
29.56, 3.022, 36
31.64, 2.828, 32
33.63, 2.665, 100
43.85, 2.065, 19
52.45, 1.744, 27
57.63, 1.599, 28
62.56, 1.485, 26
63.76, 1.460, 16


# 4
# DyTm2PuAs4
Simulated powder XRD pattern, Cu Kα (λ = 1.5418 Å). Input: a DFT-relaxed cell (GGA-PBE, Alexandria).
Neutral-atom scattering factors, no anomalous dispersion.

Atomic structure:
abc: 7.080 4.102 7.086
angles: 90.00 109.47 90.00
Fractional coordinates of all 8 atoms:
Dy 0.000 0.000 0.000
Tm 0.500 0.000 0.500
Tm 0.500 0.500 0.000
Pu 0.000 0.500 0.500
As 0.253 0.000 0.750
As 0.253 0.500 0.252
As 0.747 0.000 0.250
As 0.747 0.500 0.748

Largest 8 diffraction maxima, by angle, 10° ≤ 2θ ≤ 80°:
2θ (°), d [Å], Rel. int.
26.67, 3.342, 31
30.89, 2.894, 100
44.22, 2.048, 38
44.29, 2.045, 37
52.38, 1.747, 8
54.92, 1.672, 20
64.34, 1.448, 8
73.12, 1.294, 23


# 5
# K2Se3S
Simulated powder XRD pattern, Cu Kα (λ = 1.5418 Å). Input: a DFT-relaxed cell (GGA-PBE, Alexandria).
Neutral-atom scattering factors, no anomalous dispersion.

Atomic structure:
abc: 6.690 6.690 10.291
angles: 111.76 111.76 61.28
Fractional coordinates of all 12 atoms:
K 0.018 0.661 0.875
K 0.339 0.982 0.625
K 0.661 0.018 0.375
K 0.982 0.339 0.125
Se 0.146 0.854 0.250
Se 0.189 0.509 0.530
Se 0.491 0.811 0.970
Se 0.509 0.189 0.030
Se 0.811 0.491 0.470
Se 0.854 0.146 0.750
S 0.475 0.525 0.250
S 0.525 0.475 0.750

Largest 8 diffraction maxima, by angle, 10° ≤ 2θ ≤ 80°:
2θ (°), d [Å], Rel. int.
19.39, 4.578, 38
20.11, 4.415, 26
29.40, 3.038, 100
30.55, 2.926, 75
31.39, 2.849, 40
33.93, 2.642, 28
46.94, 1.936, 39
54.71, 1.678, 22


# 6
# BaZnRuO6
Simulated powder XRD pattern, Cu Kα (λ = 1.5418 Å). Input: a DFT-relaxed cell (GGA-PBE, Alexandria).
Neutral-atom scattering factors, no anomalous dispersion.

Atomic structure:
abc: 5.474 5.474 5.587
angles: 91.46 91.46 122.42
Fractional coordinates of all 9 atoms:
Ba 0.000 0.000 0.000
Zn 0.648 0.352 0.500
Ru 0.324 0.676 0.500
O 0.026 0.460 0.281
O 0.334 0.405 0.683
O 0.373 0.013 0.314
O 0.540 0.974 0.719
O 0.595 0.666 0.317
O 0.987 0.627 0.686

Largest 8 diffraction maxima, by angle, 10° ≤ 2θ ≤ 80°:
2θ (°), d [Å], Rel. int.
24.46, 3.639, 100
25.61, 3.478, 50
32.08, 2.790, 13
32.76, 2.733, 35
34.06, 2.632, 13
40.95, 2.204, 12
45.83, 1.980, 24
47.19, 1.926, 13


# 7
# CuCl2F3
Simulated powder XRD pattern, Cu Kα (λ = 1.5418 Å). Input: a DFT-relaxed cell (GGA-PBE, Alexandria).
Neutral-atom scattering factors, no anomalous dispersion.

Atomic structure:
abc: 5.903 5.956 6.899
angles: 94.99 105.01 96.25
Fractional coordinates of all 12 atoms:
Cu 0.175 0.355 0.461
Cu 0.825 0.645 0.539
Cl 0.385 0.346 0.247
Cl 0.407 0.842 0.180
Cl 0.593 0.158 0.820
Cl 0.615 0.654 0.753
F 0.021 0.598 0.360
F 0.163 0.815 0.984
F 0.282 0.108 0.581
F 0.718 0.892 0.419
F 0.837 0.185 0.016
F 0.979 0.402 0.640

Largest 8 diffraction maxima, by angle, 10° ≤ 2θ ≤ 80°:
2θ (°), d [Å], Rel. int.
13.38, 6.616, 85
18.95, 4.682, 34
22.95, 3.876, 37
23.30, 3.818, 100
23.65, 3.762, 47
29.91, 2.988, 60
34.92, 2.570, 30
35.77, 2.510, 42


# 8
# Ho3Cu2Ge4
Simulated powder XRD pattern, Cu Kα (λ = 1.5418 Å). Input: a DFT-relaxed cell (GGA-PBE, Alexandria).
Neutral-atom scattering factors, no anomalous dispersion.

Atomic structure:
abc: 5.724 5.724 8.153
angles: 106.16 106.16 42.92
Fractional coordinates of all 9 atoms:
Ho 0.000 0.000 0.000
Ho 0.371 0.371 0.307
Ho 0.629 0.629 0.693
Cu 0.314 0.314 0.636
Cu 0.686 0.686 0.364
Ge 0.080 0.080 0.396
Ge 0.292 0.292 0.928
Ge 0.708 0.708 0.072
Ge 0.920 0.920 0.604

Largest 8 diffraction maxima, by angle, 10° ≤ 2θ ≤ 80°:
2θ (°), d [Å], Rel. int.
24.48, 3.636, 26
33.27, 2.693, 43
33.78, 2.654, 22
34.03, 2.635, 84
34.53, 2.598, 100
42.87, 2.110, 48
43.20, 2.094, 44
56.47, 1.630, 22


# 9
# NaZn3Ag3
Simulated powder XRD pattern, Cu Kα (λ = 1.5418 Å). Input: a DFT-relaxed cell (GGA-PBE, Alexandria).
Neutral-atom scattering factors, no anomalous dispersion.

Atomic structure:
abc: 8.893 8.893 8.893
angles: 60.00 60.00 60.00
Fractional coordinates of all 14 atoms:
Na 0.250 0.250 0.250
Na 0.750 0.750 0.750
Zn 0.148 0.148 0.852
Zn 0.148 0.852 0.148
Zn 0.148 0.852 0.852
Zn 0.852 0.148 0.148
Zn 0.852 0.148 0.852
Zn 0.852 0.852 0.148
Ag 0.343 0.343 0.657
Ag 0.343 0.657 0.343
Ag 0.343 0.657 0.657
Ag 0.657 0.343 0.343
Ag 0.657 0.343 0.657
Ag 0.657 0.657 0.343

Largest 8 diffraction maxima, by angle, 10° ≤ 2θ ≤ 80°:
2θ (°), d [Å], Rel. int.
14.08, 6.288, 100
24.52, 3.630, 23
28.39, 3.144, 16
34.95, 2.567, 33
43.16, 2.096, 61
45.62, 1.989, 24
50.26, 1.815, 10
62.68, 1.482, 14


# 10
# Tb3Sm4Dy8
Simulated powder XRD pattern, Cu Kα (λ = 1.5418 Å). Input: a DFT-relaxed cell (GGA-PBE, Alexandria).
Neutral-atom scattering factors, no anomalous dispersion.

Atomic structure:
abc: 12.465 12.465 12.465
angles: 32.39 32.39 32.39
Fractional coordinates of all 15 atoms:
Tb 0.000 0.500 0.500
Tb 0.500 0.000 0.500
Tb 0.500 0.500 0.000
Sm 0.000 0.000 0.000
Sm 0.163 0.163 0.163
Sm 0.500 0.500 0.500
Sm 0.837 0.837 0.837
Dy 0.250 0.250 0.748
Dy 0.250 0.748 0.250
Dy 0.252 0.750 0.750
Dy 0.255 0.255 0.255
Dy 0.745 0.745 0.745
Dy 0.748 0.250 0.250
Dy 0.750 0.252 0.750
Dy 0.750 0.750 0.252

Largest 8 diffraction maxima, by angle, 10° ≤ 2θ ≤ 80°:
2θ (°), d [Å], Rel. int.
29.81, 2.998, 25
30.30, 2.950, 56
31.38, 2.850, 100
36.08, 2.489, 73
51.24, 1.783, 23
52.65, 1.738, 37
60.69, 1.526, 17
61.96, 1.498, 44


# 11
# YPdRhAu
Simulated powder XRD pattern, Cu Kα (λ = 1.5418 Å). Input: a DFT-relaxed cell (GGA-PBE, Alexandria).
Neutral-atom scattering factors, no anomalous dispersion.

Atomic structure:
abc: 3.944 4.223 4.301
angles: 90.00 90.00 90.00
Fractional coordinates of all 4 atoms:
Y 0.000 0.000 0.000
Pd 0.500 0.000 0.500
Rh 0.500 0.500 0.000
Au 0.000 0.500 0.500

Largest 8 diffraction maxima, by angle, 10° ≤ 2θ ≤ 80°:
2θ (°), d [Å], Rel. int.
37.56, 2.394, 100
42.01, 2.151, 18
42.83, 2.112, 17
46.03, 1.972, 14
61.55, 1.507, 12
73.82, 1.284, 14
74.96, 1.267, 13
79.55, 1.205, 11


# 12
# Ce2Ti2Fe22H
Simulated powder XRD pattern, Cu Kα (λ = 1.5418 Å). Input: a DFT-relaxed cell (GGA-PBE, Alexandria).
Neutral-atom scattering factors, no anomalous dispersion.

Atomic structure:
abc: 6.461 6.461 12.033
angles: 90.13 90.13 42.71
Fractional coordinates of all 27 atoms:
Ce 0.000 0.000 0.000
Ce 0.500 0.500 0.500
Ti 0.310 0.310 0.311
Ti 0.812 0.812 0.811
Fe 0.106 0.106 0.386
Fe 0.113 0.113 0.613
Fe 0.172 0.172 0.172
Fe 0.176 0.176 0.818
Fe 0.246 0.747 0.247
Fe 0.248 0.748 0.746
Fe 0.319 0.319 0.675
Fe 0.383 0.383 0.883
Fe 0.384 0.384 0.107
Fe 0.497 0.996 0.497
Fe 0.497 0.997 0.997
Fe 0.608 0.608 0.884
Fe 0.611 0.611 0.111
Fe 0.673 0.673 0.673
Fe 0.674 0.674 0.318
Fe 0.747 0.246 0.247
Fe 0.748 0.248 0.746
Fe 0.817 0.817 0.175
Fe 0.882 0.882 0.382
Fe 0.886 0.886 0.606
Fe 0.996 0.497 0.497
Fe 0.997 0.497 0.997
H 0.499 0.499 0.999

Largest 8 diffraction maxima, by angle, 10° ≤ 2θ ≤ 80°:
2θ (°), d [Å], Rel. int.
30.20, 2.959, 36
37.00, 2.429, 43
42.44, 2.130, 30
42.55, 2.125, 34
42.87, 2.110, 100
43.98, 2.059, 71
49.16, 1.853, 30
72.33, 1.306, 19


- Number 9 is which compound?
  NaZn3Ag3


- What is the formula in the first record?
  LaSmDy5Er2